(1)
ZrI4: simulated powder diffraction line list (Cu Kα (weighted mean of Kα1 and Kα2)), based on a GGA-PBE-relaxed structure.
Lines closer than 0.1° are merged.

```
data_ZrI4
_symmetry_space_group_name_H-M 'P m c 21'
_symmetry_Int_Tables_number 26
_symmetry_space_group_name_Hall 'P 2c -2'
_cell_length_a 4.1887
_cell_length_b 7.0399
_cell_length_c 15.0571
_cell_angle_alpha 90.00
_cell_angle_beta 90.00
_cell_angle_gamma 90.00
loop_
_atom_site_label
_atom_site_type_symbol
_atom_site_fract_x
_atom_site_fract_y
_atom_site_fract_z
Zr1 Zr 0.0000 0.2476 0.0000
I1 I 0.0000 0.0210 0.8482
I2 I 0.0000 0.4745 0.1518
I3 I 0.5000 0.0069 0.0790
I4 I 0.5000 0.4883 0.9210
```

Top 6 peaks for 2θ from 5° to 70°, most intense first:
h k l  d (Å)  two_theta  intensity
1 1 2  3.248  27.46  100
0 1 4  3.320  26.86  40
1 2 2  2.537  35.38  25
0 2 0  3.520  25.30  24
1 0 6  2.153  41.97  24
1 3 2  1.976  45.94  22

=====

(2)
TbTmNO: simulated powder diffraction line list (Cu Kα (weighted mean of Kα1 and Kα2)), based on a GGA-PBE-relaxed structure.
Lines closer than 0.1° are merged.

```
data_TbTmNO
_symmetry_space_group_name_H-M 'P m m a'
_symmetry_Int_Tables_number 51
_symmetry_space_group_name_Hall '-P 2a 2a'
_cell_length_a 4.8192
_cell_length_b 3.9463
_cell_length_c 6.8264
_cell_angle_alpha 90.00
_cell_angle_beta 90.00
_cell_angle_gamma 90.00
loop_
_atom_site_label
_atom_site_type_symbol
_atom_site_fract_x
_atom_site_fract_y
_atom_site_fract_z
Tb1 Tb 0.2500 0.0000 0.1646
Tm1 Tm 0.2500 0.5000 0.6676
N1 N 0.2500 0.5000 0.3412
O1 O 0.2500 0.0000 0.8154
```

Top 6 peaks for 2θ from 5° to 70°, most intense first:
h k l  d (Å)  two_theta  intensity
1 0 2  2.787  32.12  100
0 2 0  1.971  46.04  47
0 0 2  3.415  26.09  42
2 2 0  1.526  60.69  30
2 0 0  2.410  37.32  22
1 2 2  1.610  57.23  21

=====

(3)
Rb4Zr6CCl18: simulated powder diffraction line list (Cu Kα (weighted mean of Kα1 and Kα2)), based on a GGA-PBE-relaxed structure.
Lines closer than 0.1° are merged.

```
data_Rb4Zr6CCl18
_symmetry_space_group_name_H-M 'C 1 2/m 1'
_symmetry_Int_Tables_number 12
_symmetry_space_group_name_Hall '-C 2y'
_cell_length_a 10.7567
_cell_length_b 17.7244
_cell_length_c 10.0254
_cell_angle_alpha 90.00
_cell_angle_beta 114.95
_cell_angle_gamma 90.00
loop_
_atom_site_label
_atom_site_type_symbol
_atom_site_fract_x
_atom_site_fract_y
_atom_site_fract_z
Rb1 Rb 0.1072 0.1620 0.3165
Zr1 Zr 0.1214 0.5000 0.8561
Zr2 Zr 0.1433 0.4082 0.1483
C1 C 0.0000 0.5000 0.0000
Cl1 Cl 0.0000 0.2958 0.0000
Cl2 Cl 0.0247 0.3979 0.3199
Cl3 Cl 0.1807 0.0000 0.6744
Cl4 Cl 0.1918 0.1967 0.6763
Cl5 Cl 0.2067 0.1027 0.9938
Cl6 Cl 0.2395 0.0000 0.3030
```

Top 6 peaks for 2θ from 5° to 70°, most intense first:
h k l  d (Å)  two_theta  intensity
1 1 0  8.545  10.35  100
1 1 -1  7.837  11.29  96
2 4 1  2.839  31.52  92
3 1 -3  2.872  31.14  85
1 5 2  2.519  35.64  59
0 0 1  9.090  9.73  53

=====

(4)
BaPd: simulated powder diffraction line list (Cu Kα (weighted mean of Kα1 and Kα2)), based on a GGA-PBE-relaxed structure.
Lines closer than 0.1° are merged.

```
data_BaPd
_symmetry_space_group_name_H-M 'P 1 21/m 1'
_symmetry_Int_Tables_number 11
_symmetry_space_group_name_Hall '-P 2yb'
_cell_length_a 6.2589
_cell_length_b 4.7067
_cell_length_c 25.0606
_cell_angle_alpha 90.00
_cell_angle_beta 97.00
_cell_angle_gamma 90.00
loop_
_atom_site_label
_atom_site_type_symbol
_atom_site_fract_x
_atom_site_fract_y
_atom_site_fract_z
Ba1 Ba 0.0046 0.2500 0.2728
Ba2 Ba 0.1605 0.7500 0.0608
Ba3 Ba 0.1629 0.7500 0.5604
Ba4 Ba 0.3163 0.7500 0.8942
Ba5 Ba 0.3252 0.7500 0.3938
Ba6 Ba 0.4838 0.7500 0.2272
Pd1 Pd 0.0366 0.2500 0.8210
Pd2 Pd 0.2058 0.2500 0.1546
Pd3 Pd 0.2069 0.2500 0.6543
Pd4 Pd 0.3666 0.2500 0.9879
Pd5 Pd 0.3694 0.2500 0.4882
Pd6 Pd 0.4701 0.7500 0.6782
```

Top 6 peaks for 2θ from 5° to 70°, most intense first:
h k l  d (Å)  two_theta  intensity
0 1 6  3.111  28.70  100
2 0 2  2.928  30.53  77
2 1 2  2.488  36.10  63
2 1 -4  2.484  36.16  59
0 2 0  2.353  38.24  55
1 1 -6  2.891  30.93  50

=====

(5)
NaScFeTe: simulated powder diffraction line list (Cu Kα (weighted mean of Kα1 and Kα2)), based on a GGA-PBE-relaxed structure.
Lines closer than 0.1° are merged.

```
data_NaScFeTe
_symmetry_space_group_name_H-M 'F -4 3 m'
_symmetry_Int_Tables_number 216
_symmetry_space_group_name_Hall 'F -4 2 3'
_cell_length_a 6.4880
_cell_length_b 6.4880
_cell_length_c 6.4880
_cell_angle_alpha 90.00
_cell_angle_beta 90.00
_cell_angle_gamma 90.00
loop_
_atom_site_label
_atom_site_type_symbol
_atom_site_fract_x
_atom_site_fract_y
_atom_site_fract_z
Na1 Na 0.0000 0.0000 0.0000
Sc1 Sc 0.2500 0.2500 0.7500
Fe1 Fe 0.0000 0.0000 0.5000
Te1 Te 0.2500 0.2500 0.2500
```

Top 6 peaks for 2θ from 5° to 70°, most intense first:
h k l  d (Å)  two_theta  intensity
2 2 0  2.294  39.28  100
1 1 1  3.746  23.75  29
4 0 0  1.622  56.76  16
3 1 1  1.956  46.42  15
2 0 0  3.244  27.50  15
3 3 1  1.488  62.39  6

=====

(6)
BaAgSnAuSe4: simulated powder diffraction line list (Cu Kα (weighted mean of Kα1 and Kα2)), based on a GGA-PBE-relaxed structure.
Lines closer than 0.1° are merged.

```
data_BaAgSnAuSe4
_symmetry_space_group_name_H-M 'C 1 2 1'
_symmetry_Int_Tables_number 5
_symmetry_space_group_name_Hall 'C 2y'
_cell_length_a 10.4508
_cell_length_b 8.5250
_cell_length_c 7.0019
_cell_angle_alpha 90.00
_cell_angle_beta 129.88
_cell_angle_gamma 90.00
loop_
_atom_site_label
_atom_site_type_symbol
_atom_site_fract_x
_atom_site_fract_y
_atom_site_fract_z
Ba1 Ba 0.0000 0.0000 0.0000
Ag1 Ag 0.0000 0.6728 0.5000
Sn1 Sn 0.0000 0.5011 0.0000
Au1 Au 0.0000 0.3226 0.5000
Se1 Se 0.1834 0.3218 0.3908
Se2 Se 0.1853 0.6810 0.9733
```

Top 6 peaks for 2θ from 5° to 70°, most intense first:
h k l  d (Å)  two_theta  intensity
0 2 1  3.339  26.70  100
2 2 -1  3.291  27.10  79
0 0 2  2.686  33.35  63
4 0 -2  2.589  34.65  59
1 1 0  5.841  15.17  59
1 3 0  2.678  33.46  44

=====

(7)
Gd4Pt3Au2: simulated powder diffraction line list (Cu Kα (weighted mean of Kα1 and Kα2)), based on a GGA-PBE-relaxed structure.
Lines closer than 0.1° are merged.

```
data_Gd4Pt3Au2
_symmetry_space_group_name_H-M 'P -6'
_symmetry_Int_Tables_number 174
_symmetry_space_group_name_Hall 'P -6'
_cell_length_a 8.0932
_cell_length_b 8.0932
_cell_length_c 3.4866
_cell_angle_alpha 90.00
_cell_angle_beta 90.00
_cell_angle_gamma 120.00
loop_
_atom_site_label
_atom_site_type_symbol
_atom_site_fract_x
_atom_site_fract_y
_atom_site_fract_z
Gd1 Gd 0.0000 0.0000 0.0000
Gd2 Gd 0.3990 0.0375 0.0000
Pt1 Pt 0.0366 0.7229 0.5000
Au1 Au 0.3333 0.6667 0.0000
Au2 Au 0.6667 0.3333 0.5000
```

Top 6 peaks for 2θ from 5° to 70°, most intense first:
h k l  d (Å)  two_theta  intensity
1 1 1  2.641  33.94  100
3 0 0  2.336  38.53  84
2 0 1  2.472  36.35  64
2 3 1  1.460  63.74  36
3 0 2  1.397  66.98  33
1 2 0  2.649  33.84  32

=====

(8)
KScCoS3: simulated powder diffraction line list (Cu Kα (weighted mean of Kα1 and Kα2)), based on a GGA-PBE-relaxed structure.
Lines closer than 0.1° are merged.

```
data_KScCoS3
_symmetry_space_group_name_H-M 'P 1 21/m 1'
_symmetry_Int_Tables_number 11
_symmetry_space_group_name_Hall '-P 2yb'
_cell_length_a 8.5587
_cell_length_b 3.7220
_cell_length_c 9.1070
_cell_angle_alpha 90.00
_cell_angle_beta 110.45
_cell_angle_gamma 90.00
loop_
_atom_site_label
_atom_site_type_symbol
_atom_site_fract_x
_atom_site_fract_y
_atom_site_fract_z
K1 K 0.2078 0.2500 0.2340
Sc1 Sc 0.3322 0.7500 0.8616
Co1 Co 0.0785 0.2500 0.5953
S1 S 0.1201 0.2500 0.8538
S2 S 0.1894 0.7500 0.5410
S3 S 0.4660 0.7500 0.1577
```

Top 6 peaks for 2θ from 5° to 70°, most intense first:
h k l  d (Å)  two_theta  intensity
1 0 -1  7.241  12.22  100
2 1 -1  2.799  31.98  36
2 1 0  2.728  32.82  33
1 0 0  8.019  11.03  26
2 1 -4  1.916  47.45  20
0 0 3  2.845  31.44  16